(1)
This entry pairs a crystal structure of PrNd4Ga3 with its calculated powder diffractogram. Radiation: Cu Kα (weighted mean of Kα1 and Kα2). Structure: the PBE geometry in Alexandria.
Peak positions follow from Bragg's law for the DFT cell and can differ from measured ones.

Most intense lines, 2θ = 10–90°, low angle first:
two_theta	I (rel.)	(hkl)
29.18	24.6	0 0 2
30.39	80.0	3 2 1
32.80	45.8	2 0 2
33.13	64.7	4 2 0
33.89	100.0	4 1 1
36.09	39.4	2 2 2
52.50	17.3	3 2 3
53.59	23.3	5 5 0
54.81	25.2	4 1 3
63.23	16.5	6 4 2

Atomic structure:
```
data_PrNd4Ga3
_cell_length_a 12.093
_cell_length_b 12.093
_cell_length_c 6.120
_cell_angle_alpha 90.00
_cell_angle_beta 90.00
_cell_angle_gamma 90.00
_symmetry_space_group_name_H-M 'I 4/m c m'
_symmetry_Int_Tables_number 140
_symmetry_space_group_name_Hall '-I 4 2c'
loop_
_atom_site_label
_atom_site_fract_x
_atom_site_fract_y
_atom_site_fract_z
Pr1 0.000 0.500 0.250
Nd1 0.087 0.214 0.000
Ga1 0.000 0.000 0.250
Ga2 0.160 0.340 0.500
```

***

(2)
This entry pairs a crystal structure of SmSiTc2Ge2 with its calculated powder diffractogram. Radiation: Cu Kα (weighted mean of Kα1 and Kα2). Structure: the PBE geometry in Alexandria.
Peak positions follow from Bragg's law for the DFT cell and can differ from measured ones.

Most intense lines, 2θ = 10–90°, low angle first:
two_theta	I (rel.)	(hkl)
25.44	16.5	1 0 1
32.11	12.1	0 0 2
32.41	100.0	1 1 1
37.97	59.0	1 0 2
40.10	67.4	2 0 0
56.41	36.9	2 1 2
57.43	12.0	1 1 3
58.00	22.5	2 2 0
68.03	22.9	3 1 1
81.19	15.7	2 0 4

Atomic structure:
```
data_SmSiTc2Ge2
_cell_length_a 4.498
_cell_length_b 4.498
_cell_length_c 5.575
_cell_angle_alpha 90.00
_cell_angle_beta 90.00
_cell_angle_gamma 90.00
_symmetry_space_group_name_H-M 'P 4/m m m'
_symmetry_Int_Tables_number 123
_symmetry_space_group_name_Hall '-P 4 2'
loop_
_atom_site_label
_atom_site_fract_x
_atom_site_fract_y
_atom_site_fract_z
Sm1 0.000 0.000 0.000
Si1 0.000 0.000 0.500
Tc1 0.000 0.500 0.500
Ge1 0.500 0.500 0.231
```

***

(3)
This entry pairs a crystal structure of Ba3In2Pt2 with its calculated powder diffractogram. Radiation: Cu Kα (weighted mean of Kα1 and Kα2). Structure: the PBE geometry in Alexandria.
Peak positions follow from Bragg's law for the DFT cell and can differ from measured ones.

Most intense lines, 2θ = 10–90°, low angle first:
two_theta	I (rel.)	(hkl)
13.47	28.0	1 0 0
17.74	17.5	1 1 1
28.92	24.7	2 1 0
29.15	24.9	1 1 4
30.02	29.2	1 2 3
31.08	35.5	0 2 4
32.92	53.5	1 3 0
34.01	26.7	1 2 4
34.13	100.0	2 1 3
35.89	27.5	0 0 6

Atomic structure:
```
data_Ba3In2Pt2
_cell_length_a 6.576
_cell_length_b 8.966
_cell_length_c 15.012
_cell_angle_alpha 90.00
_cell_angle_beta 90.00
_cell_angle_gamma 90.00
_symmetry_space_group_name_H-M 'P b c m'
_symmetry_Int_Tables_number 57
loop_
_symmetry_equiv_pos_as_xyz
'x,y,z'
'-x,-y,-z'
'-x,-y,z+1/2'
'x,y,-z+1/2'
'x,-y+1/2,-z'
'-x,y+1/2,z'
'-x,y+1/2,-z+1/2'
'x,-y+1/2,z+1/2'
loop_
_atom_site_label
_atom_site_fract_x
_atom_site_fract_y
_atom_site_fract_z
Ba1 0.142 0.239 0.250
Ba2 0.344 0.604 0.593
In1 0.129 0.250 0.000
In2 0.340 0.591 0.250
Pt1 0.122 0.534 0.093
```

***

(4)
This entry pairs a crystal structure of NdVAs3 with its calculated powder diffractogram. Radiation: Cu Kα (weighted mean of Kα1 and Kα2). Structure: the PBE geometry in Alexandria.
Peak positions follow from Bragg's law for the DFT cell and can differ from measured ones.

Most intense lines, 2θ = 10–90°, low angle first:
two_theta	I (rel.)	(hkl)
23.25	30.3	1 1 1
26.34	26.8	2 1 1
34.22	56.4	2 2 0
35.09	43.6	2 0 2
35.74	25.6	5 0 0
36.32	100.0	4 1 1
37.89	17.8	3 2 0
45.15	48.1	0 2 2
59.85	22.4	4 1 3
75.75	20.7	2 4 2

Atomic structure:
```
data_NdVAs3
_cell_length_a 12.562
_cell_length_b 5.766
_cell_length_c 5.597
_cell_angle_alpha 90.00
_cell_angle_beta 90.00
_cell_angle_gamma 90.00
_symmetry_space_group_name_H-M 'P b c m'
_symmetry_Int_Tables_number 57
loop_
_symmetry_equiv_pos_as_xyz
'x,y,z'
'-x,-y,-z'
'-x,-y,z+1/2'
'x,y,-z+1/2'
'x,-y+1/2,-z'
'-x,y+1/2,z'
'-x,y+1/2,-z+1/2'
'x,-y+1/2,z+1/2'
loop_
_atom_site_label
_atom_site_fract_x
_atom_site_fract_y
_atom_site_fract_z
Nd1 0.188 0.003 0.250
V1 0.417 0.750 0.000
As1 0.001 0.750 0.000
As2 0.289 0.504 0.250
As3 0.428 0.111 0.250
```

***

(5)
This entry pairs a crystal structure of Cs3Na2HoBr8 with its calculated powder diffractogram. Radiation: Cu Kα (weighted mean of Kα1 and Kα2). Structure: the PBE geometry in Alexandria.
Peak positions follow from Bragg's law for the DFT cell and can differ from measured ones.

Most intense lines, 2θ = 10–90°, low angle first:
two_theta	I (rel.)	(hkl)
20.91	28.0	0 1 2
22.20	97.4	1 1 0
24.85	30.1	0 0 3
27.02	94.1	0 2 1
27.79	58.9	1 1 2
30.69	100.0	2 0 2
36.05	46.5	2 0 3
42.57	73.0	0 2 4
45.30	61.9	2 2 0
63.90	27.0	4 0 4

Atomic structure:
```
data_Cs3Na2HoBr8
_cell_length_a 8.0076
_cell_length_b 8.0076
_cell_length_c 10.7488
_cell_angle_alpha 90.00
_cell_angle_beta 90.00
_cell_angle_gamma 120.00
_symmetry_space_group_name_H-M 'P -3 m 1'
_symmetry_Int_Tables_number 164
_symmetry_space_group_name_Hall '-P 3 2"'
loop_
_atom_site_label
_atom_site_fract_x
_atom_site_fract_y
_atom_site_fract_z
Cs1 0.0000 0.0000 0.0000
Cs2 0.3333 0.6667 0.6247
Na1 0.3333 0.6667 0.1913
Ho1 0.0000 0.0000 0.5000
Br1 0.1613 0.3226 0.3454
Br2 0.3333 0.6667 0.9420
```

***

(6)
This entry pairs a crystal structure of HoBi2O6 with its calculated powder diffractogram. Radiation: Cu Kα (weighted mean of Kα1 and Kα2). Structure: the PBE geometry in Alexandria.
Peak positions follow from Bragg's law for the DFT cell and can differ from measured ones.

Most intense lines, 2θ = 10–90°, low angle first:
two_theta	I (rel.)	(hkl)
28.54	100.0	1 0 3
33.01	11.4	0 0 6
33.11	23.3	1 1 0
47.48	50.6	2 0 0
56.25	14.9	1 0 9
56.38	30.9	2 1 3
59.08	9.8	2 0 6
76.65	12.3	2 1 9
79.13	9.3	3 1 0
88.47	11.4	3 1 6

Atomic structure:
```
data_HoBi2O6
_cell_length_a 3.826
_cell_length_b 3.826
_cell_length_c 16.282
_cell_angle_alpha 90.00
_cell_angle_beta 90.00
_cell_angle_gamma 90.00
_symmetry_space_group_name_H-M 'I 4/m m m'
_symmetry_Int_Tables_number 139
_symmetry_space_group_name_Hall '-I 4 2'
loop_
_atom_site_label
_atom_site_fract_x
_atom_site_fract_y
_atom_site_fract_z
Ho1 0.000 0.000 0.000
Bi1 0.000 0.000 0.338
O1 0.000 0.500 0.085
O2 0.000 0.500 0.250
```

***

(7)
This entry pairs a crystal structure of Bi12IrO20 with its calculated powder diffractogram. Radiation: Cu Kα (weighted mean of Kα1 and Kα2). Structure: the PBE geometry in Alexandria.
Peak positions follow from Bragg's law for the DFT cell and can differ from measured ones.

Most intense lines, 2θ = 10–90°, low angle first:
two_theta	I (rel.)	(hkl)
27.20	100.0	3 1 0
29.86	25.1	2 2 2
32.31	70.4	3 2 1
44.57	18.6	4 1 3
51.40	33.9	5 0 3
53.00	20.0	6 0 0
54.57	29.4	5 3 2
60.58	21.6	6 3 1
76.95	14.6	6 3 5
78.25	14.7	6 6 0

Atomic structure:
```
data_Bi12IrO20
_cell_length_a 10.367
_cell_length_b 10.367
_cell_length_c 10.367
_cell_angle_alpha 90.00
_cell_angle_beta 90.00
_cell_angle_gamma 90.00
_symmetry_space_group_name_H-M 'I 2 3'
_symmetry_Int_Tables_number 197
_symmetry_space_group_name_Hall 'I 2 2 3'
loop_
_atom_site_label
_atom_site_fract_x
_atom_site_fract_y
_atom_site_fract_z
Bi1 0.017 0.177 0.320
Ir1 0.000 0.000 0.000
O1 0.008 0.369 0.745
O2 0.109 0.109 0.891
O3 0.194 0.194 0.194
```

***

(8)
This entry pairs a crystal structure of Tm6ReO12 with its calculated powder diffractogram. Radiation: Cu Kα (weighted mean of Kα1 and Kα2). Structure: the PBE geometry in Alexandria.
Peak positions follow from Bragg's law for the DFT cell and can differ from measured ones.

Most intense lines, 2θ = 10–90°, low angle first:
two_theta	I (rel.)	(hkl)
29.07	30.6	0 0 3
29.77	100.0	2 1 1
34.31	46.9	3 -2 2
48.85	25.0	2 1 4
49.76	26.8	1 4 0
57.85	10.9	3 -2 5
58.66	23.2	1 4 3
59.07	13.1	6 -4 1
61.83	10.1	4 2 2
80.79	8.8	3 5 1

Atomic structure:
```
data_Tm6ReO12
_cell_length_a 9.6962
_cell_length_b 9.6962
_cell_length_c 9.2163
_cell_angle_alpha 90.00
_cell_angle_beta 90.00
_cell_angle_gamma 120.00
_symmetry_space_group_name_H-M 'R -3'
_symmetry_Int_Tables_number 148
_symmetry_space_group_name_Hall '-R 3'
loop_
_atom_site_label
_atom_site_fract_x
_atom_site_fract_y
_atom_site_fract_z
Tm1 0.0397 0.2530 0.1428
Re1 0.0000 0.0000 0.5000
O1 0.0310 0.2218 0.8992
O2 0.0347 0.1856 0.3870
```

***

(9)
This entry pairs a crystal structure of CsNp2Co2S6 with its calculated powder diffractogram. Radiation: Cu Kα (weighted mean of Kα1 and Kα2). Structure: the PBE geometry in Alexandria.
Peak positions follow from Bragg's law for the DFT cell and can differ from measured ones.

Most intense lines, 2θ = 10–90°, low angle first:
two_theta	I (rel.)	(hkl)
15.12	100.0	1 0 0
16.54	41.7	1 1 1
23.79	42.0	0 1 -1
24.83	60.4	1 1 2
25.40	55.8	1 2 1
26.65	42.0	0 2 1
27.64	42.7	1 -1 1
28.97	68.2	1 1 -1
31.42	47.4	2 1 2
35.42	42.0	-1 2 1

Atomic structure:
```
data_CsNp2Co2S6
_cell_length_a 6.503
_cell_length_b 7.187
_cell_length_c 7.288
_cell_angle_alpha 62.32
_cell_angle_beta 66.81
_cell_angle_gamma 69.86
_symmetry_space_group_name_H-M 'P -1'
_symmetry_Int_Tables_number 2
loop_
_symmetry_equiv_pos_as_xyz
'x,y,z'
'-x,-y,-z'
loop_
_atom_site_label
_atom_site_fract_x
_atom_site_fract_y
_atom_site_fract_z
Cs1 0.000 0.000 0.000
Np1 0.002 0.325 0.330
Co1 0.500 0.354 0.682
S1 0.273 0.944 0.357
S2 0.274 0.491 0.928
S3 0.278 0.401 0.488
```